The following is a simulated powder X-ray diffraction pattern of Na2S2O3. It was derived from the GGA-PBE geometry in the Materials Project, using Cu Kα X-rays.
Neutral-atom scattering factors, no anomalous dispersion.

Crystal structure
```
data_Na2S2O3
_chemical_formula_sum 'Na6 S6 O9'
_symmetry_space_group_name_H-M 'P 1'
_symmetry_Int_Tables_number 1
_symmetry_space_group_name_Hall 'P 1'
_cell_length_a 7.715
_cell_length_b 7.818
_cell_length_c 9.460
_cell_angle_alpha 85.37
_cell_angle_beta 83.10
_cell_angle_gamma 64.00
loop_
_atom_site_label
_atom_site_fract_x
_atom_site_fract_y
_atom_site_fract_z
Na1 0.000 0.000 0.000
Na2 0.026 0.960 0.433
Na3 0.393 0.642 0.838
Na4 0.458 0.622 0.454
Na5 0.653 0.722 0.076
Na6 0.953 0.579 0.418
S1 0.039 0.647 0.840
S2 0.132 0.637 0.634
S3 0.206 0.640 0.158
S4 0.735 0.344 0.898
S5 0.803 0.317 0.535
S6 0.930 0.284 0.721
O1 0.214 0.662 0.319
O2 0.302 0.762 0.074
O3 0.319 0.977 0.343
O4 0.395 0.084 0.372
O5 0.405 0.914 0.686
O6 0.578 0.805 0.719
O7 0.644 0.759 0.325
O8 0.654 0.915 0.358
O9 0.987 0.750 0.140
```

Largest 10 diffraction maxima, in order of rising 2θ, 2θ from 15° to 90°:
h k l	two_theta	intensity
1 1 1	15.56	100
0 1 -1	16.00	84
1 -1 0	21.61	73
1 2 0	22.91	78
2 1 0	23.28	77
1 0 -2	23.93	39
0 1 3	30.92	53
2 2 2	31.43	48
2 2 -2	35.26	55
0 3 0	38.45	46